Record 1
Starting from a structure optimized by DFT (PBE), the powder diffractogram of K4Eu2UGe4O16 was computed for Cu Kα X-rays.
Kinematic intensities with the Lorentz-polarization factor, no thermal factor.

Largest 6 diffraction maxima, by angle, 2θ from 10° to 90°:
- hkl 0 1 0, 2θ = 13.63°, rel. 100
- hkl 1 0 -1, 2θ = 15.20°, rel. 90
- hkl 0 2 0, 2θ = 27.47°, rel. 67
- hkl 2 0 -1, 2θ = 27.55°, rel. 54
- hkl 1 1 -3, 2θ = 31.60°, rel. 59
- hkl -1 1 3, 2θ = 31.79°, rel. 80

Crystal structure
```
data_K4Eu2UGe4O16
_cell_length_a 7.0618
_cell_length_b 7.0906
_cell_length_c 10.1605
_cell_angle_alpha 99.15
_cell_angle_beta 93.92
_cell_angle_gamma 110.92
_symmetry_space_group_name_H-M 'P -1'
_symmetry_Int_Tables_number 2
loop_
_symmetry_equiv_pos_as_xyz
'x,y,z'
'-x,-y,-z'
loop_
_atom_site_label
_atom_site_fract_x
_atom_site_fract_y
_atom_site_fract_z
K1 0.1915 0.3365 0.0373
K2 0.2423 0.4613 0.4001
Eu1 0.2725 0.0207 0.5992
U1 0.5000 0.0000 0.0000
Ge1 0.1708 0.8763 0.2650
Ge2 0.2412 0.5364 0.7372
O1 0.0007 0.6094 0.2070
O2 0.0670 0.0239 0.3708
O3 0.1865 0.6896 0.6336
O4 0.2268 0.9559 0.1110
O5 0.3469 0.3730 0.6507
O6 0.3612 0.0693 0.8613
O7 0.3718 0.8818 0.3799
O8 0.3885 0.6722 0.8964
```

***

Record 2
Starting from a structure optimized by DFT (PBE), the powder diffractogram of CuPO5 was computed for Cu Kα X-rays.
Kinematic intensities with the Lorentz-polarization factor, no thermal factor.

Largest 6 diffraction maxima, by angle, 2θ from 10° to 90°:
- hkl 0 1 1, 2θ = 17.40°, rel. 100
- hkl 1 1 0, 2θ = 18.48°, rel. 21
- hkl 2 1 -1, 2θ = 29.18°, rel. 24
- hkl 2 0 -2, 2θ = 30.58°, rel. 32
- hkl 2 1 1, 2θ = 32.28°, rel. 20
- hkl 0 2 2, 2θ = 35.23°, rel. 23

Crystal structure
```
data_CuPO5
_cell_length_a 7.1771
_cell_length_b 6.5324
_cell_length_c 8.2598
_cell_angle_alpha 90.00
_cell_angle_beta 99.62
_cell_angle_gamma 90.00
_symmetry_space_group_name_H-M 'P 1 21/c 1'
_symmetry_Int_Tables_number 14
loop_
_symmetry_equiv_pos_as_xyz
'x,y,z'
'-x,-y,-z'
'-x,y+1/2,-z+1/2'
'x,-y+1/2,z+1/2'
loop_
_atom_site_label
_atom_site_fract_x
_atom_site_fract_y
_atom_site_fract_z
Cu1 0.0000 0.0000 0.0000
Cu2 0.5000 0.0000 0.0000
P1 0.2191 0.1778 0.7403
O1 0.0474 0.1766 0.8351
O2 0.2023 0.1164 0.1425
O3 0.2145 0.5172 0.1349
O4 0.3200 0.6641 0.3959
O5 0.4180 0.2062 0.8500
```

***

- Which formula does entry 2 have?
  CuPO5